This entry pairs a crystal structure of LiWCl6 with its computed powder diffractogram. Radiation: λ = 1.5418 Å (Cu Kα). Structure: a GGA-PBE-relaxed structure.
Kinematic intensities with the Lorentz-polarization factor, no thermal factor.

Main lines, sorted by position (2θ from 10° to 80°):
hkl 0 0 3, d = 6.156 Å, intensity 61.0; hkl 0 2 1, d = 5.284 Å, intensity 100.0; hkl 2 0 2, d = 4.734 Å, intensity 72.9; hkl 0 2 4, d = 3.540 Å, intensity 26.5; hkl 2 0 5, d = 3.069 Å, intensity 16.9; hkl 4 -2 3, d = 2.828 Å, intensity 62.0; hkl 4 -2 6, d = 2.212 Å, intensity 53.1; hkl 6 0 0, d = 1.838 Å, intensity 19.0; hkl 6 0 3, d = 1.761 Å, intensity 12.1; hkl 2 2 9, d = 1.725 Å, intensity 18.1

Structure:
Cell lengths 12.7344, 12.7344, 18.4669 Å; angles 90.00, 90.00, 120.00 degrees
Space group R3 (No. 146, hexagonal axes)
Asymmetric unit:
Li: 0.0000 0.0000 0.0000
Li: 0.0005 0.5004 0.3285
W: 0.0000 0.0000 0.6590
W: 0.1709 0.3424 0.9925
Cl: 0.0003 0.6506 0.7323
Cl: 0.0048 0.1530 0.7328
Cl: 0.0077 0.3539 0.5860
Cl: 0.0094 0.8542 0.5855
Cl: 0.0108 0.8334 0.9234
Cl: 0.0130 0.1809 0.0666
Cl: 0.1671 0.4821 0.0669
Cl: 0.1685 0.6885 0.9156

---

This entry pairs a crystal structure of Na3LuCl6 with its computed powder diffractogram. Radiation: λ = 1.5418 Å (Cu Kα). Structure: a GGA-PBE-relaxed structure.
Kinematic intensities with the Lorentz-polarization factor, no thermal factor.

Main lines, sorted by position (2θ from 10° to 80°):
hkl 1 1 1, d = 6.067 Å, intensity 87.6; hkl 2 0 0, d = 5.254 Å, intensity 100.0; hkl 2 2 0, d = 3.715 Å, intensity 50.6; hkl 3 1 1, d = 3.168 Å, intensity 48.1; hkl 4 0 0, d = 2.627 Å, intensity 73.5; hkl 4 2 0, d = 2.350 Å, intensity 48.0; hkl 4 2 2, d = 2.145 Å, intensity 24.4; hkl 5 1 1, d = 2.022 Å, intensity 21.7; hkl 4 4 0, d = 1.858 Å, intensity 48.7; hkl 6 0 0, d = 1.751 Å, intensity 23.9

Structure:
Cell lengths 10.508, 10.508, 10.508 Å; angles 90.00, 90.00, 90.00 degrees
Space group Fm-3m (No. 225)
Asymmetric unit:
Na: 0.000 0.000 0.000
Na: 0.250 0.250 0.250
Lu: 0.000 0.000 0.500
Cl: 0.000 0.000 0.256

---

This entry pairs a crystal structure of Na3LuCl6 with its computed powder diffractogram. Radiation: λ = 1.5418 Å (Cu Kα). Structure: a GGA-PBE-relaxed structure.
Kinematic intensities with the Lorentz-polarization factor, no thermal factor.

Main lines, sorted by position (2θ from 10° to 80°):
hkl 0 1 1, d = 5.917 Å, intensity 100.0; hkl 1 0 0, d = 5.774 Å, intensity 39.1; hkl 1 0 -2, d = 5.725 Å, intensity 45.2; hkl 0 0 2, d = 5.101 Å, intensity 38.3; hkl 1 1 -1, d = 5.025 Å, intensity 78.0; hkl 1 1 1, d = 3.592 Å, intensity 38.5; hkl 1 2 0, d = 3.076 Å, intensity 47.0; hkl 2 1 -1, d = 3.007 Å, intensity 37.3; hkl 2 2 -2, d = 2.513 Å, intensity 37.6; hkl 0 2 4, d = 2.088 Å, intensity 36.6

Structure:
Cell lengths 6.960, 7.264, 12.298 Å; angles 90.00, 123.95, 90.00 degrees
Space group P2_1/c (No. 14)
Asymmetric unit:
Na: 0.000 0.000 0.000
Na: 0.227 0.058 0.742
Lu: 0.500 0.000 0.500
Cl: 0.133 0.179 0.439
Cl: 0.255 0.701 0.424
Cl: 0.394 0.064 0.264